Record 1
Li2VO3F: simulated PXRD pattern (Cu Kα, 1.54184 Å), based on the GGA+U geometry in the Materials Project.
No peak broadening, texture or thermal motion is included.

Structural model:
```
data_Li2VO3F
_chemical_formula_sum 'Li16 V8 O24 F8'
_symmetry_space_group_name_H-M 'C 1 c 1'
_symmetry_Int_Tables_number 9
_cell_length_a 8.033
_cell_length_b 8.298
_cell_length_c 9.298
_cell_angle_alpha 90.00
_cell_angle_beta 114.34
_cell_angle_gamma 90.00
loop_
_symmetry_equiv_pos_as_xyz
'x,y,z'
'x,-y,z+1/2'
'x+1/2,y+1/2,z'
'x+1/2,-y+1/2,z+1/2'
loop_
_atom_site_label
_atom_site_fract_x
_atom_site_fract_y
_atom_site_fract_z
Li1 0.000 0.109 0.000
Li2 0.127 0.116 0.759
Li3 0.368 0.385 0.759
Li4 0.375 0.129 0.265
V1 0.018 0.344 0.512
V2 0.084 0.357 0.224
O1 0.000 0.141 0.508
O2 0.104 0.385 0.721
O3 0.108 0.148 0.233
O4 0.214 0.378 0.477
O5 0.389 0.123 0.773
O6 0.498 0.118 0.523
F1 0.256 0.123 0.989
F2 0.363 0.377 0.270
```

Largest 12 diffraction maxima, in order of rising 2θ, 2θ from 10° to 90°:
two_theta	I/Imax
16.1	100
16.3	35
21.8	65
23.9	64
24.3	54
24.7	28
30.8	38
34.7	27
42.7	55
43.6	53
45.2	50
64.6	36

***

Record 2
Ba2YFe2F11: simulated PXRD pattern (Cu Kα, 1.54184 Å), based on the GGA+U geometry in the Materials Project.
No peak broadening, texture or thermal motion is included.

Structural model:
```
data_Ba2YFe2F11
_chemical_formula_sum 'Ba6 Y3 Fe6 F33'
_symmetry_space_group_name_H-M 'P 32'
_symmetry_Int_Tables_number 145
_cell_length_a 7.9232
_cell_length_b 7.9232
_cell_length_c 13.7177
_cell_angle_alpha 90.00
_cell_angle_beta 90.00
_cell_angle_gamma 120.00
loop_
_symmetry_equiv_pos_as_xyz
'x,y,z'
'-y,x-y,z+2/3'
'-x+y,-x,z+1/3'
loop_
_atom_site_label
_atom_site_fract_x
_atom_site_fract_y
_atom_site_fract_z
Ba1 0.0076 0.1535 0.0000
Ba2 0.2203 0.5242 0.5161
Y1 0.5384 0.1990 0.0774
Fe1 0.0274 0.6998 0.0705
Fe2 0.4390 0.0716 0.5742
F1 0.0201 0.6387 0.7088
F2 0.0888 0.6595 0.2154
F3 0.1368 0.3023 0.1916
F4 0.1743 0.0499 0.7786
F5 0.2319 0.6323 0.0298
F6 0.2465 0.0038 0.0087
F7 0.3270 0.2513 0.5925
F8 0.3730 0.0153 0.1939
F9 0.5131 0.1380 0.4201
F10 0.5203 0.4652 0.0531
F11 0.6074 0.2679 0.9108
```

Largest 12 diffraction maxima, in order of rising 2θ, 2θ from 10° to 90°:
two_theta	I/Imax
23.4	100
26.0	56
26.8	79
29.1	92
37.1	41
40.0	47
41.6	54
43.8	38
45.8	34
48.3	33
52.1	35
62.4	34

***

Record 3
Li4Fe7O2F14: simulated PXRD pattern (Cu Kα, 1.54184 Å), based on the GGA+U geometry in the Materials Project.
No peak broadening, texture or thermal motion is included.

Structural model:
```
data_Li4Fe7O2F14
_chemical_formula_sum 'Li4 Fe7 O2 F14'
_symmetry_space_group_name_H-M 'P 1'
_symmetry_Int_Tables_number 1
_cell_length_a 6.147
_cell_length_b 6.156
_cell_length_c 10.764
_cell_angle_alpha 105.69
_cell_angle_beta 91.43
_cell_angle_gamma 118.72
loop_
_symmetry_equiv_pos_as_xyz
'x,y,z'
loop_
_atom_site_label
_atom_site_fract_x
_atom_site_fract_y
_atom_site_fract_z
Li1 0.000 0.000 0.000
Li2 0.120 0.220 0.388
Li3 0.504 0.014 0.501
Li4 0.643 0.252 0.891
Fe1 0.045 0.627 0.195
Fe2 0.068 0.118 0.693
Fe3 0.310 0.630 0.934
Fe4 0.564 0.625 0.691
Fe5 0.574 0.139 0.186
Fe6 0.587 0.626 0.195
Fe7 0.833 0.633 0.446
O1 0.687 0.374 0.081
O2 0.920 0.832 0.319
F1 0.192 0.865 0.064
F2 0.192 0.902 0.572
F3 0.212 0.419 0.072
F4 0.216 0.375 0.580
F5 0.436 0.380 0.818
F6 0.441 0.367 0.319
F7 0.441 0.877 0.297
F8 0.451 0.864 0.824
F9 0.675 0.864 0.065
F10 0.681 0.395 0.556
F11 0.696 0.879 0.573
F12 0.910 0.869 0.811
F13 0.939 0.366 0.322
F14 0.960 0.349 0.819
```

Largest 12 diffraction maxima, in order of rising 2θ, 2θ from 10° to 90°:
two_theta	I/Imax
17.4	91
17.9	100
33.6	51
33.8	23
33.9	22
41.1	50
41.2	98
54.9	12
58.9	32
59.0	16
60.2	28
60.4	14

***

Record 4
ZnNiP2O7: simulated PXRD pattern (Cu Kα, 1.54184 Å), based on the GGA+U geometry in the Materials Project.
No peak broadening, texture or thermal motion is included.

Structural model:
```
data_ZnNiP2O7
_chemical_formula_sum 'Zn2 Ni2 P4 O14'
_symmetry_space_group_name_H-M 'P -1'
_symmetry_Int_Tables_number 2
_cell_length_a 6.190
_cell_length_b 6.421
_cell_length_c 6.848
_cell_angle_alpha 68.41
_cell_angle_beta 78.90
_cell_angle_gamma 80.92
loop_
_symmetry_equiv_pos_as_xyz
'x,y,z'
'-x,-y,-z'
loop_
_atom_site_label
_atom_site_fract_x
_atom_site_fract_y
_atom_site_fract_z
Zn1 0.062 0.219 0.288
Ni1 0.344 0.406 0.718
P1 0.152 0.707 0.272
P2 0.407 0.856 0.830
O1 0.009 0.428 0.769
O2 0.036 0.870 0.386
O3 0.258 0.872 0.050
O4 0.276 0.714 0.763
O5 0.334 0.545 0.386
O6 0.365 0.265 0.106
O7 0.412 0.098 0.688
```

Largest 12 diffraction maxima, in order of rising 2θ, 2θ from 10° to 90°:
two_theta	I/Imax
19.7	22
28.0	12
28.4	100
29.7	26
30.1	12
30.9	54
34.7	21
34.9	15
40.5	10
42.8	15
45.0	9
49.1	12

***

Record 5
Li4V2Cr3Co3O16: simulated PXRD pattern (Cu Kα, 1.54184 Å), based on the GGA+U geometry in the Materials Project.
No peak broadening, texture or thermal motion is included.

Structural model:
```
data_Li4V2Cr3Co3O16
_chemical_formula_sum 'Li8 V4 Cr6 Co6 O32'
_symmetry_space_group_name_H-M 'C 1 m 1'
_symmetry_Int_Tables_number 8
_cell_length_a 10.084
_cell_length_b 5.829
_cell_length_c 9.304
_cell_angle_alpha 90.00
_cell_angle_beta 90.28
_cell_angle_gamma 90.00
loop_
_symmetry_equiv_pos_as_xyz
'x,y,z'
'x,-y,z'
'x+1/2,y+1/2,z'
'x+1/2,-y+1/2,z'
loop_
_atom_site_label
_atom_site_fract_x
_atom_site_fract_y
_atom_site_fract_z
Li1 0.000 0.000 0.000
Li2 0.000 0.000 0.495
Li3 0.159 0.500 0.902
Li4 0.326 0.000 0.396
V1 0.162 0.500 0.495
V2 0.328 0.000 0.001
Cr1 0.323 0.500 0.218
Cr2 0.408 0.242 0.717
Co1 0.081 0.259 0.217
Co2 0.168 0.000 0.720
O1 0.000 0.000 0.307
O2 0.018 0.500 0.338
O3 0.080 0.264 0.593
O4 0.156 0.500 0.111
O5 0.170 0.000 0.100
O6 0.229 0.281 0.345
O7 0.254 0.219 0.850
O8 0.322 0.500 0.590
O9 0.326 0.000 0.603
O10 0.410 0.239 0.095
O11 0.472 0.000 0.849
O12 0.496 0.500 0.811
```

Largest 12 diffraction maxima, in order of rising 2θ, 2θ from 10° to 90°:
two_theta	I/Imax
19.1	63
20.0	100
26.0	22
34.0	20
36.4	29
36.9	48
40.6	21
40.7	20
46.3	31
46.5	30
61.9	22
63.9	38

***

Number 5 is which compound?
Li4V2Cr3Co3O16